This entry pairs a crystal structure of DyHo3Tm7 with its theoretical powder X-ray diffraction pattern. Radiation: Cu Kα X-rays. Structure: the GGA-PBE geometry in Alexandria.
Lines closer than 0.1° are merged.

Atomic structure:
abc: 6.8422 5.4317 9.8040
angles: 90.00 110.06 90.00
Fractional coordinates of all 11 atoms:
Dy  0.0000  0.0000  0.0000
Ho  0.2785  0.5000  0.4985
Ho  0.5000  0.0000  0.0000
Ho  0.7215  0.5000  0.5015
Tm  0.0000  0.0000  0.5000
Tm  0.1469  0.5000  0.7908
Tm  0.3206  0.5000  0.1409
Tm  0.4187  0.0000  0.3311
Tm  0.5813  0.0000  0.6689
Tm  0.6794  0.5000  0.8591
Tm  0.8531  0.5000  0.2092

Principal peaks in the range 5° ≤ 2θ ≤ 70°, most intense first:
- 2θ = 32.5°, d = 2.757 Å, I = 1000
- 2θ = 33.5°, d = 2.672 Å, I = 827
- 2θ = 32.4°, d = 2.766 Å, I = 814
- 2θ = 33.0°, d = 2.716 Å, I = 793
- 2θ = 32.2°, d = 2.779 Å, I = 374
- 2θ = 32.1°, d = 2.790 Å, I = 349
- 2θ = 58.5°, d = 1.577 Å, I = 304
- 2θ = 32.7°, d = 2.738 Å, I = 246
- 2θ = 59.3°, d = 1.560 Å, I = 234
- 2θ = 64.4°, d = 1.447 Å, I = 212
- 2θ = 53.6°, d = 1.711 Å, I = 184
- 2θ = 47.0°, d = 1.934 Å, I = 182

=====

This entry pairs a crystal structure of Dy7Ho12Tm with its theoretical powder X-ray diffraction pattern. Radiation: Cu Kα X-rays. Structure: the GGA-PBE geometry in Alexandria.
Lines closer than 0.1° are merged.

Atomic structure:
abc: 10.8621 10.8621 10.8621
angles: 115.96 115.96 115.96
Fractional coordinates of all 20 atoms:
Dy  0.0000  0.0000  0.0000
Dy  0.1262  0.2907  0.4304
Dy  0.2907  0.4304  0.1261
Dy  0.4304  0.1261  0.2907
Dy  0.5696  0.8739  0.7093
Dy  0.7093  0.5696  0.8739
Dy  0.8739  0.7093  0.5696
Ho  0.0027  0.4279  0.2148
Ho  0.2148  0.0027  0.4279
Ho  0.2322  0.2951  0.7536
Ho  0.2464  0.7678  0.7049
Ho  0.2951  0.7536  0.2322
Ho  0.4279  0.2148  0.0027
Ho  0.5721  0.7852  0.9973
Ho  0.7049  0.2464  0.7678
Ho  0.7536  0.2322  0.2951
Ho  0.7678  0.7049  0.2464
Ho  0.7852  0.9973  0.5721
Ho  0.9973  0.5721  0.7852
Tm  0.5000  0.5000  0.5000

Principal peaks in the range 5° ≤ 2θ ≤ 70°, most intense first:
- 2θ = 33.7°, d = 2.657 Å, I = 1000
- 2θ = 30.8°, d = 2.907 Å, I = 664
- 2θ = 27.8°, d = 3.205 Å, I = 661
- 2θ = 41.9°, d = 2.155 Å, I = 433
- 2θ = 36.6°, d = 2.458 Å, I = 265
- 2θ = 58.7°, d = 1.573 Å, I = 232
- 2θ = 29.1°, d = 3.069 Å, I = 226
- 2θ = 25.6°, d = 3.481 Å, I = 223
- 2θ = 60.6°, d = 1.528 Å, I = 199
- 2θ = 32.6°, d = 2.745 Å, I = 198
- 2θ = 35.2°, d = 2.551 Å, I = 171
- 2θ = 48.8°, d = 1.867 Å, I = 169

=====

This entry pairs a crystal structure of Dy2Ho4Tm7 with its theoretical powder X-ray diffraction pattern. Radiation: Cu Kα X-rays. Structure: the GGA-PBE geometry in Alexandria.
Lines closer than 0.1° are merged.

Atomic structure:
abc: 6.0613 7.7999 9.2685
angles: 65.12 89.74 82.50
Fractional coordinates of all 13 atoms:
Dy  0.1540  0.0771  0.1156
Dy  0.8460  0.9229  0.8844
Ho  0.3077  0.1545  0.7305
Ho  0.4619  0.2311  0.3464
Ho  0.5381  0.7689  0.6536
Ho  0.6923  0.8455  0.2695
Tm  0.0000  0.0000  0.5000
Tm  0.0768  0.5384  0.8077
Tm  0.2306  0.6151  0.4232
Tm  0.3843  0.6913  0.0387
Tm  0.6157  0.3087  0.9613
Tm  0.7694  0.3849  0.5768
Tm  0.9232  0.4616  0.1923

Principal peaks in the range 5° ≤ 2θ ≤ 70°, most intense first:
- 2θ = 31.3°, d = 2.856 Å, I = 1000
- 2θ = 36.4°, d = 2.469 Å, I = 335
- 2θ = 52.2°, d = 1.751 Å, I = 240
- 2θ = 36.2°, d = 2.483 Å, I = 170
- 2θ = 62.0°, d = 1.496 Å, I = 143
- 2θ = 62.3°, d = 1.490 Å, I = 142
- 2θ = 62.4°, d = 1.488 Å, I = 141
- 2θ = 65.3°, d = 1.429 Å, I = 62
- 2θ = 65.4°, d = 1.427 Å, I = 61
- 2θ = 52.3°, d = 1.748 Å, I = 60
- 2θ = 52.5°, d = 1.744 Å, I = 59

=====

This entry pairs a crystal structure of Dy4Ho4Tm3 with its theoretical powder X-ray diffraction pattern. Radiation: Cu Kα X-rays. Structure: the GGA-PBE geometry in Alexandria.
Lines closer than 0.1° are merged.

Atomic structure:
abc: 3.4863 5.5263 17.8468
angles: 81.13 84.41 90.00
Fractional coordinates of all 11 atoms:
Dy  0.0454  0.0451  0.4084
Dy  0.1793  0.6798  0.1401
Dy  0.8207  0.3202  0.8599
Dy  0.9546  0.9549  0.5916
Ho  0.0900  0.5894  0.3197
Ho  0.2334  0.2330  0.0338
Ho  0.7666  0.7670  0.9662
Ho  0.9100  0.4106  0.6803
Tm  0.3639  0.8639  0.7729
Tm  0.5000  0.5000  0.5000
Tm  0.6361  0.1361  0.2271

Principal peaks in the range 5° ≤ 2θ ≤ 70°, most intense first:
- 2θ = 32.4°, d = 2.763 Å, I = 1000
- 2θ = 32.0°, d = 2.795 Å, I = 613
- 2θ = 63.1°, d = 1.474 Å, I = 298
- 2θ = 31.2°, d = 2.862 Å, I = 275
- 2θ = 45.6°, d = 1.988 Å, I = 195
- 2θ = 57.8°, d = 1.595 Å, I = 186
- 2θ = 58.0°, d = 1.589 Å, I = 123
- 2θ = 57.6°, d = 1.601 Å, I = 121
- 2θ = 46.8°, d = 1.943 Å, I = 117
- 2θ = 67.8°, d = 1.382 Å, I = 113
- 2θ = 52.5°, d = 1.743 Å, I = 88
- 2θ = 56.6°, d = 1.626 Å, I = 61

=====

This entry pairs a crystal structure of Dy5Ho4Tm3 with its theoretical powder X-ray diffraction pattern. Radiation: Cu Kα X-rays. Structure: the GGA-PBE geometry in Alexandria.
Lines closer than 0.1° are merged.

Atomic structure:
abc: 6.0852 7.0332 8.6009
angles: 89.99 89.91 89.88
Fractional coordinates of all 12 atoms:
Dy  0.0000  0.0000  0.0000
Dy  0.3327  0.4999  0.6663
Dy  0.4994  0.7499  0.0000
Dy  0.5006  0.2501  0.0000
Dy  0.6673  0.5001  0.3337
Ho  0.1663  0.2503  0.3334
Ho  0.3337  0.9999  0.6663
Ho  0.6663  0.0001  0.3337
Ho  0.8337  0.7497  0.6666
Tm  0.0000  0.5000  0.0000
Tm  0.1668  0.7501  0.3334
Tm  0.8332  0.2499  0.6666

Principal peaks in the range 5° ≤ 2θ ≤ 70°, most intense first:
- 2θ = 31.2°, d = 2.869 Å, I = 1000
- 2θ = 36.2°, d = 2.485 Å, I = 506
- 2θ = 61.9°, d = 1.499 Å, I = 285
- 2θ = 52.0°, d = 1.758 Å, I = 240
- 2θ = 62.0°, d = 1.497 Å, I = 142
- 2θ = 52.1°, d = 1.755 Å, I = 119
- 2θ = 65.1°, d = 1.434 Å, I = 92
- 2θ = 64.9°, d = 1.437 Å, I = 31

=====

This entry pairs a crystal structure of Dy16Ho7Tm6 with its theoretical powder X-ray diffraction pattern. Radiation: Cu Kα X-rays. Structure: the GGA-PBE geometry in Alexandria.
Lines closer than 0.1° are merged.

Atomic structure:
abc: 11.0148 11.0148 11.0148
angles: 60.00 60.00 60.00
Fractional coordinates of all 29 atoms:
Dy  0.0479  0.6507  0.6507
Dy  0.1232  0.1232  0.1232
Dy  0.1232  0.1232  0.6304
Dy  0.1232  0.6304  0.1232
Dy  0.3493  0.3493  0.3493
Dy  0.3493  0.3493  0.9521
Dy  0.3493  0.9521  0.3493
Dy  0.3696  0.8768  0.8768
Dy  0.6304  0.1232  0.1232
Dy  0.6507  0.0479  0.6507
Dy  0.6507  0.6507  0.0479
Dy  0.6507  0.6507  0.6507
Dy  0.8768  0.3696  0.8768
Dy  0.8768  0.8768  0.3696
Dy  0.8768  0.8768  0.8768
Dy  0.9521  0.3493  0.3493
Ho  0.0000  0.0000  0.0000
Ho  0.0000  0.0000  0.5000
Ho  0.0000  0.5000  0.0000
Ho  0.0000  0.5000  0.5000
Ho  0.5000  0.0000  0.0000
Ho  0.5000  0.0000  0.5000
Ho  0.5000  0.5000  0.0000
Tm  0.2729  0.2729  0.7271
Tm  0.2729  0.7271  0.2729
Tm  0.2729  0.7271  0.7271
Tm  0.7271  0.2729  0.2729
Tm  0.7271  0.2729  0.7271
Tm  0.7271  0.7271  0.2729

Principal peaks in the range 5° ≤ 2θ ≤ 70°, most intense first:
- 2θ = 32.5°, d = 2.754 Å, I = 1000
- 2θ = 58.0°, d = 1.590 Å, I = 252
- 2θ = 29.8°, d = 2.998 Å, I = 144
- 2θ = 46.6°, d = 1.947 Å, I = 138
- 2θ = 44.7°, d = 2.028 Å, I = 83
- 2θ = 61.6°, d = 1.506 Å, I = 82
- 2θ = 68.1°, d = 1.377 Å, I = 68
- 2θ = 28.1°, d = 3.180 Å, I = 68
- 2θ = 34.0°, d = 2.633 Å, I = 55
- 2θ = 56.3°, d = 1.633 Å, I = 49
- 2θ = 53.6°, d = 1.710 Å, I = 46
- 2θ = 59.0°, d = 1.566 Å, I = 45

=====

This entry pairs a crystal structure of Dy2Ho3Tm9 with its theoretical powder X-ray diffraction pattern. Radiation: Cu Kα X-rays. Structure: the GGA-PBE geometry in Alexandria.
Lines closer than 0.1° are merged.

Atomic structure:
abc: 6.3243 8.2748 8.7534
angles: 86.87 82.30 70.90
Fractional coordinates of all 14 atoms:
Dy  0.0000  0.0000  0.0000
Dy  0.1374  0.6487  0.1983
Ho  0.3595  0.0906  0.7513
Ho  0.5217  0.2939  0.0440
Ho  0.6847  0.6040  0.4158
Tm  0.0728  0.2481  0.2636
Tm  0.2044  0.8976  0.4627
Tm  0.2359  0.4440  0.5359
Tm  0.3948  0.6532  0.7958
Tm  0.5459  0.8537  0.0848
Tm  0.6564  0.0476  0.3771
Tm  0.8095  0.2457  0.6636
Tm  0.8418  0.8083  0.7093
Tm  0.9651  0.4562  0.9260

Principal peaks in the range 5° ≤ 2θ ≤ 70°, most intense first:
- 2θ = 32.3°, d = 2.773 Å, I = 1000
- 2θ = 32.4°, d = 2.763 Å, I = 926
- 2θ = 33.1°, d = 2.706 Å, I = 912
- 2θ = 32.9°, d = 2.720 Å, I = 611
- 2θ = 31.8°, d = 2.813 Å, I = 602
- 2θ = 32.7°, d = 2.735 Å, I = 579
- 2θ = 30.6°, d = 2.921 Å, I = 571
- 2θ = 33.7°, d = 2.660 Å, I = 354
- 2θ = 58.5°, d = 1.577 Å, I = 272
- 2θ = 48.0°, d = 1.897 Å, I = 243
- 2θ = 59.0°, d = 1.565 Å, I = 241
- 2θ = 54.1°, d = 1.696 Å, I = 220

=====

This entry pairs a crystal structure of Dy5HoTm8 with its theoretical powder X-ray diffraction pattern. Radiation: Cu Kα X-rays. Structure: the GGA-PBE geometry in Alexandria.
Lines closer than 0.1° are merged.

Atomic structure:
abc: 8.3187 8.3187 8.3187
angles: 110.86 110.86 106.73
Fractional coordinates of all 14 atoms:
Dy  0.0000  0.0000  0.0000
Dy  0.2099  0.3102  0.6754
Dy  0.4655  0.7901  0.1002
Dy  0.6347  0.5345  0.3246
Dy  0.6898  0.3653  0.8998
Ho  0.2500  0.7500  0.5000
Tm  0.1591  0.4210  0.0828
Tm  0.3382  0.0763  0.9172
Tm  0.4179  0.1641  0.3952
Tm  0.5790  0.6618  0.7381
Tm  0.7689  0.0226  0.6048
Tm  0.8359  0.2311  0.2538
Tm  0.9237  0.8409  0.2619
Tm  0.9774  0.5821  0.7462

Principal peaks in the range 5° ≤ 2θ ≤ 70°, most intense first:
- 2θ = 34.4°, d = 2.604 Å, I = 1000
- 2θ = 29.9°, d = 2.985 Å, I = 788
- 2θ = 29.8°, d = 3.000 Å, I = 699
- 2θ = 28.6°, d = 3.123 Å, I = 627
- 2θ = 35.5°, d = 2.532 Å, I = 568
- 2θ = 35.1°, d = 2.558 Å, I = 510
- 2θ = 32.3°, d = 2.770 Å, I = 222
- 2θ = 64.4°, d = 1.447 Å, I = 215
- 2θ = 60.4°, d = 1.533 Å, I = 174
- 2θ = 56.1°, d = 1.640 Å, I = 166
- 2θ = 58.3°, d = 1.582 Å, I = 166
- 2θ = 57.3°, d = 1.608 Å, I = 160

=====

This entry pairs a crystal structure of Dy3Y6Ho with its theoretical powder X-ray diffraction pattern. Radiation: Cu Kα X-rays. Structure: the GGA-PBE geometry in Alexandria.
Lines closer than 0.1° are merged.

Atomic structure:
abc: 11.5423 11.5423 6.3844
angles: 90.00 90.00 130.67
Fractional coordinates of all 20 atoms:
Dy  0.0806  0.9194  0.5000
Dy  0.2045  0.4594  0.8950
Dy  0.4594  0.2045  0.3950
Dy  0.5406  0.7955  0.8950
Dy  0.7955  0.5406  0.3950
Dy  0.9194  0.0806  0.0000
Y  0.0421  0.6048  0.7338
Y  0.1214  0.2419  0.4754
Y  0.1988  0.8012  0.1948
Y  0.2419  0.1214  0.9754
Y  0.3952  0.9579  0.7338
Y  0.4851  0.5149  0.2252
Y  0.5149  0.4851  0.7252
Y  0.6048  0.0421  0.2338
Y  0.7581  0.8786  0.4754
Y  0.8012  0.1988  0.6948
Y  0.8786  0.7581  0.9754
Y  0.9579  0.3952  0.2338
Ho  0.3391  0.6609  0.4232
Ho  0.6609  0.3391  0.9232

Principal peaks in the range 5° ≤ 2θ ≤ 70°, most intense first:
- 2θ = 31.5°, d = 2.842 Å, I = 1000
- 2θ = 28.8°, d = 3.101 Å, I = 630
- 2θ = 33.8°, d = 2.654 Å, I = 625
- 2θ = 31.3°, d = 2.862 Å, I = 598
- 2θ = 32.2°, d = 2.780 Å, I = 570
- 2θ = 32.8°, d = 2.727 Å, I = 448
- 2θ = 29.1°, d = 3.067 Å, I = 369
- 2θ = 57.4°, d = 1.606 Å, I = 290
- 2θ = 34.7°, d = 2.587 Å, I = 250
- 2θ = 35.2°, d = 2.550 Å, I = 219
- 2θ = 56.7°, d = 1.624 Å, I = 189
- 2θ = 41.7°, d = 2.166 Å, I = 172

=====

This entry pairs a crystal structure of Dy5YHo2 with its theoretical powder X-ray diffraction pattern. Radiation: Cu Kα X-rays. Structure: the GGA-PBE geometry in Alexandria.
Lines closer than 0.1° are merged.

Atomic structure:
abc: 6.6995 9.1672 9.1673
angles: 86.23 72.31 72.33
Fractional coordinates of all 16 atoms:
Dy  0.1234  0.1465  0.4790
Dy  0.1252  0.4790  0.6461
Dy  0.1262  0.6461  0.9781
Dy  0.3741  0.2716  0.1044
Dy  0.3739  0.6040  0.2714
Dy  0.6261  0.3960  0.7286
Dy  0.6259  0.7284  0.8956
Dy  0.8738  0.3539  0.0219
Dy  0.8748  0.5210  0.3539
Dy  0.8766  0.8535  0.5210
Y  0.3757  0.1033  0.7709
Y  0.6243  0.8967  0.2291
Ho  0.1244  0.9792  0.1460
Ho  0.3754  0.7706  0.6038
Ho  0.6246  0.2294  0.3962
Ho  0.8756  0.0208  0.8540

Principal peaks in the range 5° ≤ 2θ ≤ 70°, most intense first:
- 2θ = 32.7°, d = 2.738 Å, I = 1000
- 2θ = 28.5°, d = 3.133 Å, I = 240
- 2θ = 31.8°, d = 2.817 Å, I = 240
- 2θ = 57.2°, d = 1.611 Å, I = 204
- 2θ = 50.5°, d = 1.809 Å, I = 198
- 2θ = 61.4°, d = 1.509 Å, I = 164
- 2θ = 43.2°, d = 2.095 Å, I = 155
- 2θ = 60.8°, d = 1.523 Å, I = 113
- 2θ = 60.9°, d = 1.522 Å, I = 112
- 2θ = 68.5°, d = 1.369 Å, I = 39
- 2θ = 59.0°, d = 1.567 Å, I = 31
- 2θ = 66.4°, d = 1.408 Å, I = 29

=====

This entry pairs a crystal structure of Dy7Y5Ho with its theoretical powder X-ray diffraction pattern. Radiation: Cu Kα X-rays. Structure: the GGA-PBE geometry in Alexandria.
Lines closer than 0.1° are merged.

Atomic structure:
abc: 8.6925 8.6925 8.6925
angles: 134.66 100.14 96.96
Fractional coordinates of all 13 atoms:
Dy  0.0000  0.0000  0.0000
Dy  0.0796  0.7516  0.3280
Dy  0.3050  0.3050  0.0000
Dy  0.4235  0.7516  0.6720
Dy  0.5015  0.0015  0.5000
Dy  0.5807  0.2518  0.3289
Dy  0.9229  0.2518  0.6711
Y  0.0024  0.5024  0.5000
Y  0.2764  0.2693  0.5427
Y  0.2764  0.7337  0.0072
Y  0.7266  0.2693  0.9928
Y  0.7266  0.7337  0.4573
Ho  0.6958  0.6958  0.0000

Principal peaks in the range 5° ≤ 2θ ≤ 70°, most intense first:
- 2θ = 31.6°, d = 2.832 Å, I = 1000
- 2θ = 31.1°, d = 2.878 Å, I = 847
- 2θ = 34.9°, d = 2.571 Å, I = 641
- 2θ = 27.4°, d = 3.252 Å, I = 523
- 2θ = 26.6°, d = 3.351 Å, I = 404
- 2θ = 30.9°, d = 2.897 Å, I = 372
- 2θ = 31.3°, d = 2.861 Å, I = 305
- 2θ = 57.7°, d = 1.597 Å, I = 297
- 2θ = 56.6°, d = 1.626 Å, I = 292
- 2θ = 50.2°, d = 1.817 Å, I = 282
- 2θ = 66.0°, d = 1.416 Å, I = 208
- 2θ = 35.8°, d = 2.511 Å, I = 185

=====

This entry pairs a crystal structure of Dy2Y6Ho with its theoretical powder X-ray diffraction pattern. Radiation: Cu Kα X-rays. Structure: the GGA-PBE geometry in Alexandria.
Lines closer than 0.1° are merged.

Atomic structure:
abc: 10.6773 10.6773 5.0370
angles: 90.00 90.00 90.00
Fractional coordinates of all 18 atoms:
Dy  0.1661  0.1661  0.0000
Dy  0.3339  0.6661  0.5000
Dy  0.6661  0.3339  0.5000
Dy  0.8339  0.8339  0.0000
Y  0.0001  0.3323  0.5000
Y  0.9999  0.6677  0.5000
Y  0.1660  0.8340  0.0000
Y  0.1677  0.5001  0.0000
Y  0.3323  0.0001  0.5000
Y  0.3340  0.3340  0.5000
Y  0.5001  0.1677  0.0000
Y  0.4999  0.8323  0.0000
Y  0.6660  0.6660  0.5000
Y  0.6677  0.9999  0.5000
Y  0.8323  0.4999  0.0000
Y  0.8340  0.1660  0.0000
Ho  0.0000  0.0000  0.5000
Ho  0.5000  0.5000  0.0000

Principal peaks in the range 5° ≤ 2θ ≤ 70°, most intense first:
- 2θ = 30.8°, d = 2.907 Å, I = 1000
- 2θ = 35.7°, d = 2.517 Å, I = 502
- 2θ = 61.0°, d = 1.518 Å, I = 414
- 2θ = 51.3°, d = 1.780 Å, I = 351
- 2θ = 64.1°, d = 1.453 Å, I = 119
- 2θ = 11.7°, d = 7.550 Å, I = 50
- 2θ = 18.6°, d = 4.775 Å, I = 33
- 2θ = 25.7°, d = 3.465 Å, I = 31
- 2θ = 21.2°, d = 4.190 Å, I = 24
- 2θ = 37.7°, d = 2.388 Å, I = 13
- 2θ = 39.1°, d = 2.303 Å, I = 13
- 2θ = 29.6°, d = 3.021 Å, I = 11